Record 1
Starting from a structure optimized by DFT (GGA-PBE), the powder diffraction line list of Nb2In2Cl7 was simulated for CuKα.
Neutral-atom scattering factors, no anomalous dispersion.

Atomic structure:
abc: 5.947 10.560 18.636
angles: 90.00 93.27 90.00
Space group C2/c (No. 15)
Asymmetric unit:
Nb1 0.196 0.065 0.000 (multiplicity 8)
In1 0.247 0.330 0.736 (multiplicity 8)
Cl1 0.000 0.422 0.250 (multiplicity 4)
Cl2 0.090 0.417 0.574 (multiplicity 8)
Cl3 0.101 0.081 0.594 (multiplicity 8)
Cl4 0.108 0.253 0.075 (multiplicity 8)

Peak list (10 most intense, 10° ≤ 2θ ≤ 90°, sorted by position)
2θ (°)	I/Imax	hkl
17.47	54	0 2 1
19.08	100	0 0 4
19.33	82	0 2 2
21.81	28	1 1 -3
22.11	29	0 2 3
32.53	60	1 3 -3
34.76	37	2 2 -1
36.83	44	2 0 4
37.75	32	1 3 -5
38.35	31	2 2 3


Record 2
Starting from a structure optimized by DFT (GGA-PBE), the powder diffraction line list of SiNiSe2 was simulated for CuKα.
Neutral-atom scattering factors, no anomalous dispersion.

Atomic structure:
abc: 3.428 3.586 13.229
angles: 90.00 90.00 90.00
Space group Immm (No. 71)
Asymmetric unit:
Si1 0.000 0.000 0.000 (multiplicity 2)
Ni1 0.000 0.000 0.500 (multiplicity 2)
Se1 0.000 0.500 0.368 (multiplicity 4)

Peak list (10 most intense, 10° ≤ 2θ ≤ 90°, sorted by position)
2θ (°)	I/Imax	hkl
13.39	62	0 0 2
25.74	20	0 1 1
26.88	79	1 0 1
32.18	59	0 1 3
38.81	31	1 1 2
45.76	100	1 1 4
50.94	18	0 2 0
55.55	27	0 0 8
58.52	17	1 2 1
78.71	19	0 2 8


Record 3
Starting from a structure optimized by DFT (GGA-PBE), the powder diffraction line list of NaIn9Ni2 was simulated for CuKα.
Neutral-atom scattering factors, no anomalous dispersion.

Atomic structure:
abc: 12.388 12.388 7.405
angles: 90.00 90.00 90.00
Space group I4_1/amd (No. 141, origin choice 2)
Asymmetric unit:
Na1 0.000 0.250 0.375 (multiplicity 4)
In1 0.000 0.250 0.875 (multiplicity 4)
In2 0.122 0.071 0.670 (multiplicity 32)
Ni1 0.000 0.000 0.000 (multiplicity 8)

Peak list (10 most intense, 10° ≤ 2θ ≤ 90°, sorted by position)
2θ (°)	I/Imax	hkl
13.93	29	1 0 1
20.02	14	2 1 1
32.32	34	4 2 0
33.30	93	3 1 2
37.14	15	1 0 3
38.31	100	5 0 1
39.30	14	3 3 2
39.99	23	2 1 3
40.68	16	4 2 2
67.09	18	3 0 5


Record 4
Starting from a structure optimized by DFT (GGA-PBE), the powder diffraction line list of FeIrRh4 was simulated for CuKα.
Neutral-atom scattering factors, no anomalous dispersion.

Atomic structure:
abc: 2.715 3.789 8.133
angles: 90.00 90.00 90.00
Space group Pmmm (No. 47)
Asymmetric unit:
Fe1 0.000 0.000 0.000 (multiplicity 1)
Ir1 0.500 0.500 0.500 (multiplicity 1)
Rh1 0.000 0.000 0.331 (multiplicity 2)
Rh2 0.500 0.500 0.161 (multiplicity 2)

Peak list (10 most intense, 10° ≤ 2θ ≤ 90°, sorted by position)
2θ (°)	I/Imax	hkl
10.88	18	0 0 1
40.91	100	1 1 0
47.39	33	1 0 3
48.02	16	0 2 0
69.21	5	2 0 0
69.76	20	1 2 3
83.70	24	2 1 3
84.63	12	1 3 0
88.63	5	2 2 0
88.74	5	0 2 6


Record 5
Starting from a structure optimized by DFT (GGA-PBE), the powder diffraction line list of PmSm3Pb4 was simulated for CuKα.
Neutral-atom scattering factors, no anomalous dispersion.

Atomic structure:
abc: 18.810 5.100 5.104
angles: 90.00 105.56 90.00
Space group C2/m (No. 12)
Asymmetric unit:
Pm1 0.000 0.000 0.000 (multiplicity 2)
Sm1 0.000 0.500 0.500 (multiplicity 2)
Sm2 0.250 0.000 0.250 (multiplicity 4)
Pb1 0.125 0.000 0.625 (multiplicity 4)
Pb2 0.125 0.500 0.125 (multiplicity 4)

Peak list (10 most intense, 10° ≤ 2θ ≤ 90°, sorted by position)
2θ (°)	I/Imax	hkl
31.71	100	3 1 1
35.18	38	0 2 0
39.80	14	8 0 0
50.60	14	2 2 -2
54.19	17	8 2 0
60.92	16	3 3 1
61.00	16	7 1 -3
66.15	6	6 2 2
66.32	6	10 2 -2
85.03	6	4 2 -4


Record 6
Starting from a structure optimized by DFT (GGA-PBE), the powder diffraction line list of NaBiAu3 was simulated for CuKα.
Neutral-atom scattering factors, no anomalous dispersion.

Atomic structure:
abc: 5.5261 5.5261 27.0450
angles: 90.00 90.00 120.00
Space group R-3m (No. 166, hexagonal axes)
Asymmetric unit:
Na1 0.0000 0.0000 0.1873 (multiplicity 6)
Bi1 0.0000 0.0000 0.3157 (multiplicity 6)
Au1 0.0017 0.5009 0.7532 (multiplicity 18)

Peak list (10 most intense, 10° ≤ 2θ ≤ 90°, sorted by position)
2θ (°)	I/Imax	hkl
19.70	31	0 0 6
22.76	18	1 0 4
32.42	29	0 1 8
38.20	100	2 0 2
39.98	43	0 0 12
57.81	12	1 2 8
61.70	32	2 0 14
67.86	26	2 2 0
80.63	12	0 4 2
81.77	16	2 2 12


Please write out number 3 again, unchanged.
Starting from a structure optimized by DFT (GGA-PBE), the powder diffraction line list of NaIn9Ni2 was simulated for CuKα.
Neutral-atom scattering factors, no anomalous dispersion.

Atomic structure:
abc: 12.388 12.388 7.405
angles: 90.00 90.00 90.00
Space group I4_1/amd (No. 141, origin choice 2)
Asymmetric unit:
Na1 0.000 0.250 0.375 (multiplicity 4)
In1 0.000 0.250 0.875 (multiplicity 4)
In2 0.122 0.071 0.670 (multiplicity 32)
Ni1 0.000 0.000 0.000 (multiplicity 8)

Peak list (10 most intense, 10° ≤ 2θ ≤ 90°, sorted by position)
2θ (°)	I/Imax	hkl
13.93	29	1 0 1
20.02	14	2 1 1
32.32	34	4 2 0
33.30	93	3 1 2
37.14	15	1 0 3
38.31	100	5 0 1
39.30	14	3 3 2
39.99	23	2 1 3
40.68	16	4 2 2
67.09	18	3 0 5


Q: What is the formula in the first record?
A: Nb2In2Cl7